Record 1
Diffraction record for Tm4AlGe4Pd2. The XRD peak list is theoretical, not measured: it uses a cell relaxed with GGA-PBE and Cu Kα.
Neutral-atom scattering factors, no anomalous dispersion.

Largest 10 diffraction maxima, sorted by position, 2θ from 10° to 90°:
- 21.94 deg, intensity 95
- 33.32 deg, intensity 453
- 34.88 deg, intensity 397
- 36.25 deg, intensity 1000
- 37.13 deg, intensity 168
- 40.62 deg, intensity 175
- 42.70 deg, intensity 138
- 42.94 deg, intensity 292
- 60.59 deg, intensity 107
- 74.28 deg, intensity 172

Atomic structure:
```
11
Lattice="7.7484 -2.1062 0.0000 7.7484 2.1062 0.0000 -2.0744 0.0000 6.6718" Properties=species:S:1:pos:R:3 pbc="T T T"
Tm 0.5360 0.0000 2.5114
Tm 0.4937 0.0000 6.1480
Tm 12.9286 0.0000 0.5237
Tm 12.8863 0.0000 4.1604
Al 7.7484 0.0000 0.0000
Ge 3.2814 0.0000 5.1601
Ge 6.1212 0.0000 2.2203
Ge 7.3011 0.0000 4.4514
Ge 10.1410 0.0000 1.5117
Pd 3.5725 0.0000 2.4722
Pd 9.8498 0.0000 4.1996
```



Record 2
Diffraction record for SmErS2Br2. The XRD peak list is theoretical, not measured: it uses a cell relaxed with GGA-PBE and Cu Kα.
Neutral-atom scattering factors, no anomalous dispersion.

Largest 10 diffraction maxima, sorted by position, 2θ from 10° to 90°:
- 19.12 deg, intensity 1000
- 29.01 deg, intensity 394
- 29.11 deg, intensity 852
- 33.34 deg, intensity 329
- 40.33 deg, intensity 454
- 44.03 deg, intensity 150
- 44.84 deg, intensity 516
- 48.40 deg, intensity 232
- 56.33 deg, intensity 143
- 78.41 deg, intensity 142

Atomic structure:
```
6
Lattice="4.1132 0.0000 0.0000 0.0000 5.3741 0.0000 0.0000 0.0000 9.2067" Properties=species:S:1:pos:R:3 pbc="T T T"
Sm 0.0000 0.0000 0.0000
Er 2.0566 2.6871 6.8214
S 0.0000 2.6871 8.6040
S 2.0566 0.0000 7.3032
Br 0.0000 2.6871 4.8982
Br 2.0566 0.0000 2.0263
```



Record 3
Diffraction record for Sm2Re3B6. The XRD peak list is theoretical, not measured: it uses a cell relaxed with GGA-PBE and Cu Kα.
Neutral-atom scattering factors, no anomalous dispersion.

Largest 10 diffraction maxima, sorted by position, 2θ from 10° to 90°:
- 28.52 deg, intensity 821
- 31.32 deg, intensity 199
- 33.38 deg, intensity 1000
- 34.01 deg, intensity 181
- 36.08 deg, intensity 503
- 38.88 deg, intensity 354
- 42.74 deg, intensity 261
- 46.52 deg, intensity 238
- 49.54 deg, intensity 189
- 59.22 deg, intensity 256

Atomic structure:
```
22
Lattice="3.3986 -5.2728 0.0000 3.3986 5.2728 0.0000 -0.1315 0.0000 7.5534" Properties=species:S:1:pos:R:3 pbc="T T T"
Sm 1.5490 1.8260 1.3259
Sm 1.4833 -1.8260 5.1026
Sm 5.1824 1.8260 2.4508
Sm 5.1166 -1.8260 6.2275
Re 3.3657 4.3686 1.8884
Re 2.6276 0.9709 4.4421
Re 2.6934 -0.9709 0.6654
Re 3.9723 0.9709 6.8880
Re 4.0380 -0.9709 3.1113
Re 3.2999 -4.3686 5.6651
B 0.6451 0.4883 3.5160
B 2.4757 3.0188 3.6237
B 0.5793 -0.4883 7.2927
B 1.9298 0.4889 6.5608
B 4.2557 3.0188 0.1530
B 1.9956 -0.4889 2.7841
B 4.6700 0.4889 4.7693
B 2.4100 -3.0188 7.4004
B 4.7358 -0.4889 0.9926
B 6.0864 0.4883 0.2607
B 4.1899 -3.0188 3.9297
B 6.0206 -0.4883 4.0374
```



Record 4
Diffraction record for Rb2Hg3Se4. The XRD peak list is theoretical, not measured: it uses a cell relaxed with GGA-PBE and Cu Kα.
Neutral-atom scattering factors, no anomalous dispersion.

Largest 10 diffraction maxima, sorted by position, 2θ from 10° to 90°:
- 12.16 deg, intensity 1000
- 26.45 deg, intensity 558
- 27.44 deg, intensity 569
- 29.20 deg, intensity 902
- 29.97 deg, intensity 684
- 36.34 deg, intensity 662
- 36.98 deg, intensity 425
- 46.12 deg, intensity 362
- 46.63 deg, intensity 272
- 49.43 deg, intensity 274

Atomic structure:
```
18
Lattice="-3.2688 5.8989 7.2767 3.2688 -5.8989 7.2767 3.2688 5.8989 -7.2767" Properties=species:S:1:pos:R:3 pbc="T T T"
Rb 1.4943 1.4100 0.0000
Rb 1.4943 -1.4100 7.2767
Rb 1.7746 7.3090 0.0000
Rb 1.7746 4.4889 7.2767
Hg 3.2688 3.9354 -3.6383
Hg 3.2688 0.0000 3.6383
Hg 0.0000 1.9635 3.6383
Hg 3.2688 3.9354 3.6383
Hg 0.0000 5.8989 3.6383
Hg 0.0000 1.9635 10.9150
Se 1.8088 -1.5579 1.9296
Se 1.4600 4.3411 -1.9296
Se 4.7289 1.5579 1.9296
Se 1.8088 1.5579 5.3471
Se 1.4600 4.3411 1.9296
Se -1.4600 4.3411 5.3471
Se 1.8088 1.5579 9.2062
Se 1.4600 7.4568 5.3471
```



Record 5
Diffraction record for Gd4C2Br3. The XRD peak list is theoretical, not measured: it uses a cell relaxed with GGA-PBE and Cu Kα.
Neutral-atom scattering factors, no anomalous dispersion.

Largest 10 diffraction maxima, sorted by position, 2θ from 10° to 90°:
- 29.03 deg, intensity 267
- 30.32 deg, intensity 449
- 32.31 deg, intensity 1000
- 32.94 deg, intensity 602
- 34.53 deg, intensity 520
- 46.81 deg, intensity 657
- 48.84 deg, intensity 211
- 60.17 deg, intensity 213
- 61.18 deg, intensity 217
- 61.65 deg, intensity 274

Atomic structure:
```
36
Lattice="10.8762 0.0000 0.0000 0.0000 3.7296 0.0000 0.0000 0.0000 20.6975" Properties=species:S:1:pos:R:3 pbc="T T T"
Gd 1.1391 0.9324 3.5268
Gd 1.4063 0.9324 15.6285
Gd 1.4298 0.9324 19.0391
Gd 1.4718 0.9324 6.8520
Gd 3.9663 2.7972 17.2008
Gd 4.0083 2.7972 8.6904
Gd 4.0318 2.7972 5.2797
Gd 4.2990 2.7972 13.8756
Gd 6.5773 0.9324 6.8219
Gd 6.8444 0.9324 15.4178
Gd 6.8679 0.9324 12.0071
Gd 6.9099 0.9324 3.4967
Gd 9.4045 2.7972 13.8455
Gd 9.4464 2.7972 1.6584
Gd 9.4699 2.7972 5.0690
Gd 9.7371 2.7972 17.1706
C 1.2922 2.7972 5.1557
C 1.4038 2.7972 17.4635
C 4.0343 0.9324 7.1148
C 4.1459 0.9324 15.5044
C 6.7304 2.7972 5.1931
C 6.8419 2.7972 13.5827
C 9.4724 0.9324 3.2340
C 9.5840 0.9324 15.5418
Br 1.2547 2.7972 9.1989
Br 1.4062 2.7972 0.9611
Br 1.4308 2.7972 13.2959
Br 4.0073 0.9324 2.9472
Br 4.0319 0.9324 11.3098
Br 4.1834 0.9324 19.5476
Br 6.6928 2.7972 1.1499
Br 6.8443 2.7972 9.3877
Br 6.8689 2.7972 17.7503
Br 9.4454 0.9324 7.4016
Br 9.4700 0.9324 19.7364
Br 9.6216 0.9324 11.4986
```



Record 6
Diffraction record for KGdAl2. The XRD peak list is theoretical, not measured: it uses a cell relaxed with GGA-PBE and Cu Kα.
Neutral-atom scattering factors, no anomalous dispersion.

Largest 10 diffraction maxima, sorted by position, 2θ from 10° to 90°:
- 16.20 deg, intensity 651
- 22.97 deg, intensity 783
- 26.43 deg, intensity 440
- 26.53 deg, intensity 592
- 27.00 deg, intensity 616
- 27.83 deg, intensity 506
- 29.12 deg, intensity 970
- 29.95 deg, intensity 1000
- 35.35 deg, intensity 564
- 38.42 deg, intensity 428

Atomic structure:
```
8
Lattice="4.2060 0.0000 0.0000 -0.0056 5.7965 0.0000 -0.0027 -2.3300 9.9053" Properties=species:S:1:pos:R:3 pbc="T T T"
K 1.0488 0.3395 4.5176
K 3.1489 3.1269 5.3877
Gd 1.0500 3.5518 1.4390
Gd 3.1477 -0.0854 8.4663
Al 1.0497 0.8024 0.2040
Al 1.0433 2.4158 8.0943
Al 3.1544 1.0507 1.8110
Al 3.1480 2.6641 9.7013
```



Number 5 is which compound?
Gd4C2Br3



What did the sixth record say?
Diffraction record for KGdAl2. The XRD peak list is theoretical, not measured: it uses a cell relaxed with GGA-PBE and Cu Kα.
Neutral-atom scattering factors, no anomalous dispersion.

Largest 10 diffraction maxima, sorted by position, 2θ from 10° to 90°:
- 16.20 deg, intensity 651
- 22.97 deg, intensity 783
- 26.43 deg, intensity 440
- 26.53 deg, intensity 592
- 27.00 deg, intensity 616
- 27.83 deg, intensity 506
- 29.12 deg, intensity 970
- 29.95 deg, intensity 1000
- 35.35 deg, intensity 564
- 38.42 deg, intensity 428

Atomic structure:
```
8
Lattice="4.2060 0.0000 0.0000 -0.0056 5.7965 0.0000 -0.0027 -2.3300 9.9053" Properties=species:S:1:pos:R:3 pbc="T T T"
K 1.0488 0.3395 4.5176
K 3.1489 3.1269 5.3877
Gd 1.0500 3.5518 1.4390
Gd 3.1477 -0.0854 8.4663
Al 1.0497 0.8024 0.2040
Al 1.0433 2.4158 8.0943
Al 3.1544 1.0507 1.8110
Al 3.1480 2.6641 9.7013
```